[1]
Structure and computed powder XRD pattern of PmGdHg2 (a DFT-relaxed cell (PBE, OQMD); copper Kα).

abc: 5.314 5.314 3.786
angles: 90.00 90.00 90.00
Space group P4/mmm (No. 123)
Unique sites:
Pm (0.000, 0.000, 0.000) [1 per cell]
Gd (0.500, 0.500, 0.000) [1 per cell]
Hg (0.000, 0.500, 0.500) [2 per cell]

Peak list (10 most intense, 2θ from 10° to 80°, low angle first)
- 23.68 deg, d 3.758, intensity 2
- 33.60 deg, d 2.667, intensity 100
- 33.73 deg, d 2.657, intensity 49
- 41.52 deg, d 2.175, intensity 1
- 48.07 deg, d 1.893, intensity 9
- 48.45 deg, d 1.879, intensity 18
- 60.01 deg, d 1.542, intensity 19
- 60.25 deg, d 1.536, intensity 38
- 70.64 deg, d 1.334, intensity 12
- 70.94 deg, d 1.329, intensity 6

[2]
Structure and computed powder XRD pattern of SrGdHg6 (a DFT-relaxed cell (PBE, OQMD); copper Kα).

abc: 6.6950 6.6950 5.0944
angles: 90.00 90.00 120.00
Space group P-6m2 (No. 187)
Unique sites:
Sr (0.0000, 0.0000, 0.0000) [1 per cell]
Gd (0.3333, 0.6667, 0.5000) [1 per cell]
Hg (0.9996, 0.4998, 0.0000) [3 per cell]
Hg (0.3472, 0.1736, 0.5000) [3 per cell]

Peak list (10 most intense, 2θ from 10° to 80°, low angle first)
- 15.28 deg, d 5.798, intensity 4
- 30.84 deg, d 2.899, intensity 24
- 35.23 deg, d 2.547, intensity 23
- 35.63 deg, d 2.520, intensity 100
- 47.52 deg, d 1.913, intensity 15
- 54.85 deg, d 1.674, intensity 19
- 63.49 deg, d 1.465, intensity 19
- 66.89 deg, d 1.399, intensity 22
- 67.14 deg, d 1.394, intensity 16
- 75.46 deg, d 1.260, intensity 4